Structure and calculated powder XRD pattern of BeReRh (a crystal structure in Alexandria, relaxed with GGA-PBE; Cu Kα X-rays).

Cell and atoms:
```
data_BeReRh
_symmetry_space_group_name_H-M 'P 1 21/m 1'
_symmetry_Int_Tables_number 11
_symmetry_space_group_name_Hall '-P 2yb'
_cell_length_a 2.836
_cell_length_b 4.194
_cell_length_c 6.478
_cell_angle_alpha 90.00
_cell_angle_beta 102.64
_cell_angle_gamma 90.00
loop_
_atom_site_label
_atom_site_fract_x
_atom_site_fract_y
_atom_site_fract_z
Be1 0.065 0.250 0.129
Re1 0.272 0.750 0.544
Rh1 0.415 0.250 0.830
```

Most intense lines, 10 to 80 degrees two-theta, by angle:
2theta  I/Imax  (hkl)
14.01  77  0 0 1
35.57  38  0 1 2
38.99  29  1 1 0
42.92  19  0 0 3
43.14  30  0 2 0
44.13  100  1 1 1

Structure and calculated powder XRD pattern of Er5PaRu6 (a crystal structure in Alexandria, relaxed with GGA-PBE; Cu Kα X-rays).

Cell and atoms:
```
data_Er5PaRu6
_symmetry_space_group_name_H-M 'C m m m'
_symmetry_Int_Tables_number 65
_symmetry_space_group_name_Hall '-C 2 2'
_cell_length_a 4.819
_cell_length_b 14.211
_cell_length_c 6.778
_cell_angle_alpha 90.00
_cell_angle_beta 90.00
_cell_angle_gamma 90.00
loop_
_atom_site_label
_atom_site_fract_x
_atom_site_fract_y
_atom_site_fract_z
Er1 0.000 0.000 0.000
Er2 0.000 0.329 0.500
Er3 0.000 0.333 0.000
Pa1 0.000 0.000 0.500
Ru1 0.000 0.158 0.261
Ru2 0.000 0.500 0.263
```

Most intense lines, 10 to 80 degrees two-theta, by angle:
2theta  I/Imax  (hkl)
37.32  26  2 0 0
37.59  100  1 3 2
37.99  24  0 6 0
54.31  17  2 6 0
67.52  27  3 3 2
68.37  16  1 9 2

Copy entry 2 word for word.
Structure and calculated powder XRD pattern of Er5PaRu6 (a crystal structure in Alexandria, relaxed with GGA-PBE; Cu Kα X-rays).

Cell and atoms:
```
data_Er5PaRu6
_symmetry_space_group_name_H-M 'C m m m'
_symmetry_Int_Tables_number 65
_symmetry_space_group_name_Hall '-C 2 2'
_cell_length_a 4.819
_cell_length_b 14.211
_cell_length_c 6.778
_cell_angle_alpha 90.00
_cell_angle_beta 90.00
_cell_angle_gamma 90.00
loop_
_atom_site_label
_atom_site_fract_x
_atom_site_fract_y
_atom_site_fract_z
Er1 0.000 0.000 0.000
Er2 0.000 0.329 0.500
Er3 0.000 0.333 0.000
Pa1 0.000 0.000 0.500
Ru1 0.000 0.158 0.261
Ru2 0.000 0.500 0.263
```

Most intense lines, 10 to 80 degrees two-theta, by angle:
2theta  I/Imax  (hkl)
37.32  26  2 0 0
37.59  100  1 3 2
37.99  24  0 6 0
54.31  17  2 6 0
67.52  27  3 3 2
68.37  16  1 9 2

Question: Number 2 is which compound?
Answer: Er5PaRu6